This entry pairs a crystal structure of Ba2PaGaS6 with its calculated PXRD pattern. Radiation: Cu Kα. Structure: a crystal structure in Alexandria, relaxed with PBE.

Main lines, in order of falling intensity (2θ from 10° to 90°):
Position (°2θ), I (rel.), (hkl)
25.05, 100, 2 0 -2
24.96, 99, 1 1 1
35.65, 83, 0 0 4
43.97, 51, 2 0 2
15.24, 35, 1 0 -2
44.18, 27, 3 1 -5
51.41, 25, 2 2 -6
29.39, 24, 2 1 -1
51.21, 24, 2 2 2
57.97, 18, 1 1 -7
44.06, 18, 3 1 -1
69.83, 17, 3 1 3

Structural model:
a b c (Å): 7.103 7.144 12.303
angles (deg): 90.00 125.04 90.00
Space group P2_1/c (No. 14)
One atom of each set of equivalent atoms:
Ba: 0.239 0.041 0.248 (multiplicity 4)
Pa: 0.500 0.000 0.000 (multiplicity 2)
Ga: 0.000 0.000 0.500 (multiplicity 2)
S: 0.179 0.223 0.969 (multiplicity 4)
S: 0.247 0.709 0.970 (multiplicity 4)
S: 0.302 0.004 0.743 (multiplicity 4)